Calculated PXRD pattern
Compound: RbPu2CrO8
Radiation: copper Kα
Structure: a structure optimized by DFT (PBE+U)
Intensities are scaled so that the largest is 100.

Most intense lines, 2θ from 10° to 90°, by angle:
h k l, d (Å), 2θ (°), I_rel
1 0 1, 4.238, 20.96, 100
0 1 2, 3.032, 29.46, 30
1 1 0, 2.963, 30.16, 43
2 0 1, 2.429, 37.02, 15
1 1 2, 2.327, 38.70, 9
1 0 3, 2.251, 40.06, 18
2 0 2, 2.119, 42.67, 14
0 0 4, 1.878, 48.46, 27
0 2 3, 1.792, 50.95, 10
1 2 2, 1.724, 53.13, 12
1 1 4, 1.587, 58.14, 14
2 1 3, 1.534, 60.35, 11

Atomic structure:
```
12
Lattice="5.9265 0.0000 0.0000 -2.9633 5.1325 0.0000 0.0000 0.0000 7.5141" Properties=species:S:1:pos:R:3 pbc="T T T"
Rb 0.0000 0.0000 0.0000
Pu 0.0000 3.4217 1.7779
Pu 2.9633 1.7108 5.7362
Cr 0.0000 0.0000 3.7570
O 0.0000 1.6028 2.6039
O -1.5752 4.3311 2.6039
O 1.3881 0.8014 4.9101
O 0.0000 3.4217 7.3934
O 2.9633 1.7108 0.1207
O 1.5752 4.3311 2.6039
O 4.5385 0.8014 4.9101
O 2.9633 3.5297 4.9101
```